No. 1
Structure and computed powder XRD pattern of Fe3Mo6PtN2 (the GGA-PBE geometry in Alexandria; Cu Kα X-rays).
Intensities are scaled so that the largest is 100.

Peak list (8 most intense, 10 to 90 degrees two-theta, in order of rising 2θ)
h k l	2theta	I_rel
2 2 -1	39.95	85
1 2 2	40.10	100
1 0 -3	42.21	43
3 0 1	42.33	62
1 1 -3	44.36	20
1 3 -1	44.47	23
4 3 -1	71.06	14
5 2 0	75.87	14

Crystal structure
```
data_Fe3Mo6PtN2
_chemical_formula_sum 'Fe6 Mo12 Pt2 N4'
_cell_length_a 6.754
_cell_length_b 6.755
_cell_length_c 6.767
_cell_angle_alpha 90.00
_cell_angle_beta 90.38
_cell_angle_gamma 90.00
_symmetry_space_group_name_H-M 'P 1'
_symmetry_Int_Tables_number 1
loop_
_symmetry_equiv_pos_as_xyz
'x,y,z'
loop_
_atom_site_label
_atom_site_type_symbol
_atom_site_fract_x
_atom_site_fract_y
_atom_site_fract_z
Fe1 Fe 0.065 0.000 0.328
Fe2 Fe 0.180 0.249 0.566
Fe3 Fe 0.421 0.141 0.806
Fe4 Fe 0.579 0.641 0.194
Fe5 Fe 0.820 0.749 0.434
Fe6 Fe 0.935 0.500 0.672
Mo1 Mo 0.051 0.191 0.953
Mo2 Mo 0.117 0.860 0.698
Mo3 Mo 0.205 0.617 0.375
Mo4 Mo 0.291 0.516 0.868
Mo5 Mo 0.373 0.273 0.202
Mo6 Mo 0.451 0.946 0.459
Mo7 Mo 0.549 0.446 0.541
Mo8 Mo 0.627 0.773 0.798
Mo9 Mo 0.709 0.016 0.132
Mo10 Mo 0.795 0.117 0.625
Mo11 Mo 0.883 0.360 0.302
Mo12 Mo 0.949 0.691 0.047
Pt1 Pt 0.316 0.884 0.065
Pt2 Pt 0.684 0.384 0.935
N1 N 0.126 0.444 0.122
N2 N 0.373 0.695 0.627
N3 N 0.627 0.195 0.373
N4 N 0.874 0.944 0.878
```



No. 2
Structure and computed powder XRD pattern of Y4GaPt3 (the GGA-PBE geometry in Alexandria; Cu Kα X-rays).
Intensities are scaled so that the largest is 100.

Peak list (8 most intense, 10 to 90 degrees two-theta, in order of rising 2θ)
h k l	2theta	I_rel
0 0 2	16.45	25
1 0 1	24.83	29
1 1 1	32.04	100
0 0 4	33.26	26
0 1 4	39.08	37
1 1 3	40.03	97
0 2 0	40.51	36
1 3 3	73.39	24

Crystal structure
```
data_Y4GaPt3
_chemical_formula_sum 'Y4 Ga1 Pt3'
_cell_length_a 3.802
_cell_length_b 4.454
_cell_length_c 10.775
_cell_angle_alpha 90.00
_cell_angle_beta 90.00
_cell_angle_gamma 90.00
_symmetry_space_group_name_H-M 'P 1'
_symmetry_Int_Tables_number 1
loop_
_symmetry_equiv_pos_as_xyz
'x,y,z'
loop_
_atom_site_label
_atom_site_type_symbol
_atom_site_fract_x
_atom_site_fract_y
_atom_site_fract_z
Y1 Y 0.000 0.000 0.000
Y2 Y 0.000 0.500 0.272
Y3 Y 0.500 0.000 0.486
Y4 Y 0.500 0.500 0.775
Ga1 Ga 0.000 0.000 0.710
Pt1 Pt 0.000 0.500 0.556
Pt2 Pt 0.500 0.000 0.220
Pt3 Pt 0.500 0.500 0.046
```